# EuF2
Calculated XRD peak list, Cu Ka. Input: a GGA-PBE-relaxed structure.
Intensities are scaled so that the largest is 100.

Atomic structure:
a = 5.8794 Å, b = 5.8794 Å, c = 5.8794 Å
α = 90.00°, β = 90.00°, γ = 90.00°
Space group Fm-3m (No. 225)
Inequivalent atoms, fractional coordinates:
Eu  0.0000  0.0000  0.0000
F  0.2500  0.2500  0.2500

Principal peaks in the range 5° ≤ 2θ ≤ 70°, low angle first:
(1 1 1), 2θ 26.25, intensity 100.0
(2 0 0), 2θ 30.41, intensity 27.8
(2 2 0), 2θ 43.54, intensity 60.3
(3 1 1), 2θ 51.56, intensity 47.3
(4 0 0), 2θ 63.27, intensity 9.3
(3 3 1), 2θ 69.72, intensity 19.2


# Ta2I5
Calculated XRD peak list, Cu Ka. Input: a GGA-PBE-relaxed structure.
Intensities are scaled so that the largest is 100.

Atomic structure:
a = 6.4773 Å, b = 6.4937 Å, c = 9.0573 Å
α = 85.50°, β = 86.55°, γ = 72.39°
Space group P1 (No. 1)
Inequivalent atoms, fractional coordinates:
Ta  0.0000  0.0000  0.0000
Ta  0.3503  0.6476  0.9996
I  0.1716  0.8098  0.2628
I  0.1735  0.3366  0.9019
I  0.1919  0.8491  0.7232
I  0.6621  0.3054  0.1850
I  0.6777  0.8373  0.9089

Principal peaks in the range 5° ≤ 2θ ≤ 70°, low angle first:
(0 0 1), 2θ 9.80, intensity 100.0
(1 0 0), 2θ 14.35, intensity 21.2
(1 1 0), 2θ 17.01, intensity 21.8
(-1 1 2), 2θ 30.38, intensity 11.8
(1 -1 2), 2θ 30.86, intensity 10.3
(2 2 0), 2θ 34.40, intensity 14.0


# GdGaI
Calculated XRD peak list, Cu Ka. Input: a GGA-PBE-relaxed structure.
Intensities are scaled so that the largest is 100.

Atomic structure:
a = 4.2451 Å, b = 4.2451 Å, c = 11.7044 Å
α = 90.00°, β = 90.00°, γ = 120.00°
Space group P-3m1 (No. 164)
Inequivalent atoms, fractional coordinates:
Gd  0.0000  0.0000  0.1757
Ga  0.3333  0.6667  0.0296
I  0.3333  0.6667  0.6514

Principal peaks in the range 5° ≤ 2θ ≤ 70°, low angle first:
(0 0 1), 2θ 7.55, intensity 39.9
(1 0 1), 2θ 25.39, intensity 37.2
(1 0 2), 2θ 28.68, intensity 68.5
(1 0 3), 2θ 33.49, intensity 100.0
(1 1 0), 2θ 42.59, intensity 53.9
(0 2 3), 2θ 55.24, intensity 23.8


Please write out number 2 again, unchanged.
# Ta2I5
Calculated XRD peak list, Cu Ka. Input: a GGA-PBE-relaxed structure.
Intensities are scaled so that the largest is 100.

Atomic structure:
a = 6.4773 Å, b = 6.4937 Å, c = 9.0573 Å
α = 85.50°, β = 86.55°, γ = 72.39°
Space group P1 (No. 1)
Inequivalent atoms, fractional coordinates:
Ta  0.0000  0.0000  0.0000
Ta  0.3503  0.6476  0.9996
I  0.1716  0.8098  0.2628
I  0.1735  0.3366  0.9019
I  0.1919  0.8491  0.7232
I  0.6621  0.3054  0.1850
I  0.6777  0.8373  0.9089

Principal peaks in the range 5° ≤ 2θ ≤ 70°, low angle first:
(0 0 1), 2θ 9.80, intensity 100.0
(1 0 0), 2θ 14.35, intensity 21.2
(1 1 0), 2θ 17.01, intensity 21.8
(-1 1 2), 2θ 30.38, intensity 11.8
(1 -1 2), 2θ 30.86, intensity 10.3
(2 2 0), 2θ 34.40, intensity 14.0